# NdCoP
Computed PXRD pattern, Cu Kα X-rays. Input: a structure optimized by DFT (PBE).
Peak positions follow from Bragg's law for the DFT cell and can differ from measured ones.

Crystal structure
```
data_NdCoP
_chemical_formula_sum 'Nd2 Co2 P2'
_cell_length_a 3.887
_cell_length_b 3.887
_cell_length_c 7.641
_cell_angle_alpha 90.00
_cell_angle_beta 90.00
_cell_angle_gamma 90.00
_space_group_name_H-M_alt 'P 4/n m m'
_space_group_IT_number 129
loop_
_space_group_symop_operation_xyz
'x,y,z'
'-x,-y,-z'
'-y+1/2,x,z'
'y+1/2,-x,-z'
'-x+1/2,-y+1/2,z'
'x+1/2,y+1/2,-z'
'y,-x+1/2,z'
'-y,x+1/2,-z'
'x+1/2,-y,-z'
'-x+1/2,y,z'
'-y,-x,-z'
'y,x,z'
'-x,y+1/2,-z'
'x,-y+1/2,z'
'y+1/2,x+1/2,-z'
'-y+1/2,-x+1/2,z'
loop_
_atom_site_label
_atom_site_fract_x
_atom_site_fract_y
_atom_site_fract_z
Nd1 0.250 0.250 0.200
Co1 0.250 0.750 0.500
P1 0.250 0.250 0.658
```

The 6 most intense peaks (2θ from 15° to 90°), sorted by position:
- d 3.464, I = 100.0, (1 0 1)
- d 2.748, I = 28.3, (1 1 0)
- d 2.725, I = 55.2, (1 0 2)
- d 2.586, I = 30.5, (1 1 1)
- d 2.231, I = 90.0, (1 1 2)
- d 1.943, I = 44.9, (2 0 0)